Structure and calculated PXRD pattern of SrCa2NdIn4 (DFT lattice parameters and positions (GGA-PBE); CuKα).

Cell and atoms:
a b c (Å): 5.5323 5.5323 27.1476
angles (deg): 90.00 90.00 120.00
Space group R-3m (No. 166, hexagonal axes)
Unique sites:
Sr  0.0000  0.0000  0.0000 [3 per cell]
Ca  0.0000  0.0000  0.2506 [6 per cell]
Nd  0.0000  0.0000  0.5000 [3 per cell]
In  0.0000  0.0000  0.1264 [6 per cell]
In  0.0000  0.0000  0.3781 [6 per cell]

Top 8 peaks for 10 to 90 degrees two-theta, sorted by position:
- 2θ = 19.6°, I 8, hkl 0 1 2
- 2θ = 22.7°, I 4, hkl 1 0 4
- 2θ = 32.3°, I 100, hkl 1 1 0
- 2θ = 38.1°, I 5, hkl 1 0 10
- 2θ = 46.4°, I 18, hkl 2 0 8
- 2θ = 57.7°, I 36, hkl 3 0 0
- 2θ = 67.7°, I 11, hkl 2 2 0
- 2θ = 77.0°, I 15, hkl 3 1 8